(1)
Theoretical powder diffraction line list
Compound: Tb3PrHg2
Radiation: λ = 1.5418 Å (Cu Kα)
Structure: a cell relaxed with GGA-PBE
Lines closer than 0.1° are merged.

Cell and atoms:
a b c (Å): 8.542 8.542 8.937
angles (deg): 113.74 113.74 36.78
Fractional positions:
1 Tb 0.064 0.064 0.224
2 Tb 0.306 0.306 0.498
3 Tb 0.381 0.381 0.972
4 Tb 0.619 0.619 0.028
5 Tb 0.694 0.694 0.502
6 Tb 0.936 0.936 0.776
7 Pr 0.132 0.132 0.688
8 Pr 0.868 0.868 0.312
9 Hg 0.225 0.225 0.106
10 Hg 0.491 0.491 0.332
11 Hg 0.509 0.509 0.668
12 Hg 0.775 0.775 0.894

Peak list (10 most intense, 10° ≤ 2θ ≤ 80°, by angle)
| 2θ/deg | I_rel |
| --- | --- |
| 29.4 | 30 |
| 30.1 | 14 |
| 30.2 | 35 |
| 32.3 | 100 |
| 33.2 | 58 |
| 34.7 | 44 |
| 38.2 | 17 |
| 45.0 | 19 |
| 46.6 | 11 |
| 58.8 | 30 |

(2)
Theoretical powder diffraction line list
Compound: TbPrTlHg
Radiation: λ = 1.5418 Å (Cu Kα)
Structure: a cell relaxed with GGA-PBE
Lines closer than 0.1° are merged.

Cell and atoms:
a b c (Å): 3.819 3.819 7.765
angles (deg): 90.00 90.00 90.00
Fractional positions:
1 Tb 0.000 0.000 0.000
2 Pr 0.000 0.000 0.518
3 Tl 0.500 0.500 0.248
4 Hg 0.500 0.500 0.781

Peak list (10 most intense, 10° ≤ 2θ ≤ 80°, by angle)
| 2θ/deg | I_rel |
| --- | --- |
| 32.9 | 100 |
| 33.2 | 50 |
| 46.8 | 9 |
| 47.6 | 19 |
| 58.6 | 18 |
| 59.1 | 38 |
| 69.0 | 11 |
| 77.9 | 7 |
| 79.2 | 8 |
| 79.3 | 8 |

(3)
Theoretical powder diffraction line list
Compound: TbPrYHg
Radiation: λ = 1.5418 Å (Cu Kα)
Structure: a cell relaxed with GGA-PBE
Lines closer than 0.1° are merged.

Cell and atoms:
a b c (Å): 3.678 3.678 8.906
angles (deg): 90.00 90.00 90.00
Fractional positions:
1 Tb 0.000 0.000 0.000
2 Pr 0.500 0.500 0.716
3 Y 0.000 0.000 0.429
4 Hg 0.500 0.500 0.215

Peak list (10 most intense, 10° ≤ 2θ ≤ 80°, by angle)
| 2θ/deg | I_rel |
| --- | --- |
| 31.6 | 100 |
| 34.5 | 43 |
| 39.0 | 8 |
| 40.5 | 10 |
| 49.6 | 15 |
| 54.2 | 17 |
| 60.0 | 32 |
| 65.9 | 10 |
| 68.1 | 6 |
| 72.7 | 5 |

(4)
Theoretical powder diffraction line list
Compound: TbPrZnHg
Radiation: λ = 1.5418 Å (Cu Kα)
Structure: a cell relaxed with GGA-PBE
Lines closer than 0.1° are merged.

Cell and atoms:
a b c (Å): 3.688 3.688 7.582
angles (deg): 90.00 90.00 90.00
Fractional positions:
1 Tb 0.000 0.000 0.000
2 Pr 0.000 0.000 0.534
3 Zn 0.500 0.500 0.783
4 Hg 0.500 0.500 0.247

Peak list (10 most intense, 10° ≤ 2θ ≤ 80°, by angle)
| 2θ/deg | I_rel |
| --- | --- |
| 11.7 | 10 |
| 26.9 | 15 |
| 33.9 | 100 |
| 34.4 | 50 |
| 48.0 | 8 |
| 49.4 | 18 |
| 60.4 | 17 |
| 61.3 | 36 |
| 71.4 | 10 |
| 72.5 | 6 |

(5)
Theoretical powder diffraction line list
Compound: Pr4HgTe5
Radiation: λ = 1.5418 Å (Cu Kα)
Structure: a cell relaxed with GGA-PBE
Lines closer than 0.1° are merged.

Cell and atoms:
a b c (Å): 11.292 11.292 8.578
angles (deg): 107.13 107.13 23.67
Fractional positions:
1 Pr 0.032 0.032 0.265
2 Pr 0.326 0.326 0.442
3 Pr 0.674 0.674 0.558
4 Pr 0.968 0.968 0.735
5 Hg 0.500 0.500 0.500
6 Te 0.109 0.109 0.700
7 Te 0.179 0.179 0.297
8 Te 0.500 0.500 0.000
9 Te 0.821 0.821 0.703
10 Te 0.891 0.891 0.300

Peak list (10 most intense, 10° ≤ 2θ ≤ 80°, by angle)
| 2θ/deg | I_rel |
| --- | --- |
| 10.8 | 92 |
| 25.4 | 31 |
| 28.5 | 100 |
| 30.4 | 34 |
| 30.6 | 25 |
| 34.4 | 45 |
| 36.8 | 35 |
| 38.9 | 34 |
| 39.9 | 16 |
| 40.1 | 16 |

(6)
Theoretical powder diffraction line list
Compound: PrHgTe2
Radiation: λ = 1.5418 Å (Cu Kα)
Structure: a cell relaxed with GGA-PBE
Lines closer than 0.1° are merged.

Cell and atoms:
a b c (Å): 4.656 4.656 27.904
angles (deg): 90.00 90.00 120.00
Fractional positions:
1 Pr 0.000 0.671 0.333
2 Pr 0.329 0.329 0.000
3 Pr 0.671 0.000 0.667
4 Hg 0.000 0.664 0.833
5 Hg 0.336 0.336 0.500
6 Hg 0.664 0.000 0.167
7 Te 0.004 0.667 0.729
8 Te 0.333 0.337 0.395
9 Te 0.337 0.333 0.605
10 Te 0.663 0.996 0.062
11 Te 0.667 0.004 0.271
12 Te 0.996 0.663 0.938

Peak list (10 most intense, 10° ≤ 2θ ≤ 80°, by angle)
| 2θ/deg | I_rel |
| --- | --- |
| 22.3 | 42 |
| 23.0 | 100 |
| 34.0 | 50 |
| 38.7 | 61 |
| 39.3 | 51 |
| 45.5 | 17 |
| 52.4 | 15 |
| 56.3 | 18 |
| 70.4 | 18 |
| 73.4 | 15 |

(7)
Theoretical powder diffraction line list
Compound: PrThHg3
Radiation: λ = 1.5418 Å (Cu Kα)
Structure: a cell relaxed with GGA-PBE
Lines closer than 0.1° are merged.

Cell and atoms:
a b c (Å): 15.180 15.180 4.977
angles (deg): 90.00 90.00 166.32
Fractional positions:
1 Pr 0.073 0.927 0.750
2 Pr 0.927 0.073 0.250
3 Th 0.214 0.786 0.250
4 Th 0.786 0.214 0.750
5 Hg 0.325 0.675 0.250
6 Hg 0.380 0.620 0.750
7 Hg 0.476 0.524 0.750
8 Hg 0.524 0.476 0.250
9 Hg 0.620 0.380 0.250
10 Hg 0.675 0.325 0.750

Peak list (10 most intense, 10° ≤ 2θ ≤ 80°, by angle)
| 2θ/deg | I_rel |
| --- | --- |
| 31.9 | 100 |
| 32.3 | 51 |
| 34.8 | 95 |
| 36.1 | 49 |
| 41.0 | 20 |
| 49.2 | 32 |
| 50.5 | 19 |
| 62.8 | 35 |
| 63.6 | 20 |
| 64.1 | 20 |

(8)
Theoretical powder diffraction line list
Compound: PrThHg4
Radiation: λ = 1.5418 Å (Cu Kα)
Structure: a cell relaxed with GGA-PBE
Lines closer than 0.1° are merged.

Cell and atoms:
a b c (Å): 3.447 5.078 8.798
angles (deg): 90.00 90.00 90.00
Fractional positions:
1 Pr 0.000 0.000 0.000
2 Th 0.000 0.500 0.500
3 Hg 0.500 0.000 0.333
4 Hg 0.500 0.000 0.667
5 Hg 0.500 0.500 0.166
6 Hg 0.500 0.500 0.834

Peak list (10 most intense, 10° ≤ 2θ ≤ 80°, by angle)
| 2θ/deg | I_rel |
| --- | --- |
| 25.8 | 10 |
| 33.0 | 100 |
| 35.3 | 97 |
| 44.3 | 15 |
| 49.1 | 33 |
| 53.1 | 10 |
| 62.0 | 34 |
| 63.4 | 18 |
| 65.4 | 33 |
| 74.8 | 11 |

(9)
Theoretical powder diffraction line list
Compound: Pr6Tl2Hg3
Radiation: λ = 1.5418 Å (Cu Kα)
Structure: a cell relaxed with GGA-PBE
Lines closer than 0.1° are merged.

Cell and atoms:
a b c (Å): 11.471 11.471 11.471
angles (deg): 149.30 149.30 43.97
Fractional positions:
1 Pr 0.096 0.596 0.500
2 Pr 0.214 0.214 0.000
3 Pr 0.404 0.904 0.500
4 Pr 0.596 0.096 0.500
5 Pr 0.786 0.786 0.000
6 Pr 0.904 0.404 0.500
7 Tl 0.066 0.066 0.000
8 Tl 0.934 0.934 0.000
9 Hg 0.354 0.354 0.000
10 Hg 0.500 0.500 0.000
11 Hg 0.646 0.646 0.000

Peak list (10 most intense, 10° ≤ 2θ ≤ 80°, by angle)
| 2θ/deg | I_rel |
| --- | --- |
| 20.7 | 34 |
| 29.4 | 100 |
| 32.8 | 17 |
| 33.0 | 70 |
| 42.1 | 38 |
| 44.7 | 61 |
| 54.5 | 17 |
| 63.1 | 22 |
| 65.1 | 17 |
| 69.2 | 22 |

(10)
Theoretical powder diffraction line list
Compound: PrTlHg
Radiation: λ = 1.5418 Å (Cu Kα)
Structure: a cell relaxed with GGA-PBE
Lines closer than 0.1° are merged.

Cell and atoms:
a b c (Å): 5.031 5.031 3.859
angles (deg): 90.00 90.00 120.00
Fractional positions:
1 Pr 0.000 0.000 0.000
2 Tl 0.333 0.667 0.570
3 Hg 0.667 0.333 0.412

Peak list (10 most intense, 10° ≤ 2θ ≤ 80°, by angle)
| 2θ/deg | I_rel |
| --- | --- |
| 23.0 | 12 |
| 31.0 | 100 |
| 35.7 | 79 |
| 42.9 | 14 |
| 48.0 | 30 |
| 51.8 | 16 |
| 60.5 | 15 |
| 61.2 | 29 |
| 64.1 | 15 |
| 76.0 | 11 |

(11)
Theoretical powder diffraction line list
Compound: PrTl6Hg23
Radiation: λ = 1.5418 Å (Cu Kα)
Structure: a cell relaxed with GGA-PBE
Lines closer than 0.1° are merged.

Cell and atoms:
a b c (Å): 10.622 10.622 10.622
angles (deg): 60.00 60.00 60.00
Fractional positions:
1 Pr 0.000 0.000 0.000
2 Tl 0.284 0.284 0.716
3 Tl 0.284 0.716 0.284
4 Tl 0.284 0.716 0.716
5 Tl 0.716 0.284 0.284
6 Tl 0.716 0.284 0.716
7 Tl 0.716 0.716 0.284
8 Hg 0.000 0.000 0.500
9 Hg 0.000 0.500 0.000
10 Hg 0.000 0.500 0.500
11 Hg 0.023 0.659 0.659
12 Hg 0.122 0.122 0.122
13 Hg 0.122 0.122 0.634
14 Hg 0.122 0.634 0.122
15 Hg 0.341 0.341 0.341
16 Hg 0.341 0.341 0.977
17 Hg 0.341 0.977 0.341
18 Hg 0.366 0.878 0.878
19 Hg 0.500 0.000 0.000
20 Hg 0.500 0.000 0.500
21 Hg 0.500 0.500 0.000
22 Hg 0.500 0.500 0.500
23 Hg 0.634 0.122 0.122
24 Hg 0.659 0.023 0.659
25 Hg 0.659 0.659 0.023
26 Hg 0.659 0.659 0.659
27 Hg 0.878 0.366 0.878
28 Hg 0.878 0.878 0.366
29 Hg 0.878 0.878 0.878
30 Hg 0.977 0.341 0.341

Peak list (10 most intense, 10° ≤ 2θ ≤ 80°, by angle)
| 2θ/deg | I_rel |
| --- | --- |
| 30.9 | 31 |
| 33.8 | 100 |
| 35.9 | 8 |
| 46.4 | 7 |
| 48.5 | 11 |
| 52.8 | 6 |
| 58.6 | 11 |
| 60.4 | 21 |
| 61.4 | 7 |
| 64.1 | 9 |

(12)
Theoretical powder diffraction line list
Compound: Pr7Tl2Hg
Radiation: λ = 1.5418 Å (Cu Kα)
Structure: a cell relaxed with GGA-PBE
Lines closer than 0.1° are merged.

Cell and atoms:
a b c (Å): 5.453 5.453 13.304
angles (deg): 90.00 90.00 120.00
Fractional positions:
1 Pr 0.000 0.000 0.000
2 Pr 0.000 0.000 0.261
3 Pr 0.000 0.000 0.735
4 Pr 0.333 0.667 0.409
5 Pr 0.333 0.667 0.887
6 Pr 0.667 0.333 0.128
7 Pr 0.667 0.333 0.585
8 Tl 0.000 0.000 0.498
9 Tl 0.667 0.333 0.845
10 Hg 0.333 0.667 0.146

Peak list (10 most intense, 10° ≤ 2θ ≤ 80°, by angle)
| 2θ/deg | I_rel |
| --- | --- |
| 20.0 | 19 |
| 27.6 | 7 |
| 32.9 | 100 |
| 38.8 | 10 |
| 47.2 | 18 |
| 58.7 | 28 |
| 58.9 | 4 |
| 59.3 | 5 |
| 68.9 | 6 |
| 78.5 | 8 |

(13)
Theoretical powder diffraction line list
Compound: Pr3Tl4Hg2
Radiation: λ = 1.5418 Å (Cu Kα)
Structure: a cell relaxed with GGA-PBE
Lines closer than 0.1° are merged.

Cell and atoms:
a b c (Å): 6.396 6.396 9.624
angles (deg): 112.91 112.91 46.43
Fractional positions:
1 Pr 0.000 0.000 0.000
2 Pr 0.336 0.336 0.332
3 Pr 0.664 0.664 0.668
4 Tl 0.034 0.034 0.362
5 Tl 0.311 0.311 0.970
6 Tl 0.689 0.689 0.030
7 Tl 0.966 0.966 0.638
8 Hg 0.347 0.347 0.679
9 Hg 0.653 0.653 0.321

Peak list (10 most intense, 10° ≤ 2θ ≤ 80°, by angle)
| 2θ/deg | I_rel |
| --- | --- |
| 30.8 | 50 |
| 30.8 | 100 |
| 35.3 | 78 |
| 35.6 | 38 |
| 47.4 | 15 |
| 47.8 | 30 |
| 51.6 | 16 |
| 60.6 | 28 |
| 61.0 | 15 |
| 63.8 | 16 |

(14)
Theoretical powder diffraction line list
Compound: Pr11Tl4Hg9
Radiation: λ = 1.5418 Å (Cu Kα)
Structure: a cell relaxed with GGA-PBE
Lines closer than 0.1° are merged.

Cell and atoms:
a b c (Å): 13.851 13.851 3.793
angles (deg): 90.00 90.00 105.65
Fractional positions:
1 Pr 0.000 0.000 0.000
2 Pr 0.063 0.406 0.000
3 Pr 0.184 0.816 0.000
4 Pr 0.224 0.224 0.000
5 Pr 0.362 0.638 0.000
6 Pr 0.406 0.063 0.000
7 Pr 0.594 0.937 0.000
8 Pr 0.638 0.362 0.000
9 Pr 0.776 0.776 0.000
10 Pr 0.816 0.184 0.000
11 Pr 0.937 0.594 0.000
12 Tl 0.270 0.430 0.500
13 Tl 0.430 0.270 0.500
14 Tl 0.570 0.730 0.500
15 Tl 0.730 0.570 0.500
16 Hg 0.016 0.199 0.500
17 Hg 0.149 0.612 0.500
18 Hg 0.199 0.016 0.500
19 Hg 0.388 0.851 0.500
20 Hg 0.500 0.500 0.500
21 Hg 0.612 0.149 0.500
22 Hg 0.801 0.984 0.500
23 Hg 0.851 0.388 0.500
24 Hg 0.984 0.801 0.500

Peak list (10 most intense, 10° ≤ 2θ ≤ 80°, by angle)
| 2θ/deg | I_rel |
| --- | --- |
| 31.6 | 31 |
| 31.8 | 100 |
| 32.4 | 93 |
| 32.6 | 17 |
| 33.6 | 24 |
| 33.9 | 79 |
| 36.0 | 18 |
| 48.0 | 24 |
| 58.9 | 23 |
| 59.1 | 57 |